Diffraction record for KTb2F7. The X-ray powder pattern is simulated, not measured: it uses a crystal structure in the Materials Project, relaxed with GGA-PBE and copper Kα.
No peak broadening, texture or thermal motion is included.

Crystal structure
```
data_KTb2F7
_symmetry_space_group_name_H-M 'C 1 2/m 1'
_symmetry_Int_Tables_number 12
_cell_length_a 14.5341
_cell_length_b 8.1270
_cell_length_c 12.1235
_cell_angle_alpha 90.00
_cell_angle_beta 125.30
_cell_angle_gamma 90.00
loop_
_symmetry_equiv_pos_as_xyz
'x,y,z'
'-x,-y,-z'
'-x,y,-z'
'x,-y,z'
'x+1/2,y+1/2,z'
'-x+1/2,-y+1/2,-z'
'-x+1/2,y+1/2,-z'
'x+1/2,-y+1/2,z'
loop_
_atom_site_label
_atom_site_fract_x
_atom_site_fract_y
_atom_site_fract_z
_atom_site_occupancy
K1 0.2312 0.0000 0.1548 1
K2 0.2383 0.5000 0.4804 1
Tb1 0.0000 0.2594 0.5000 1
Tb2 0.0027 0.2374 0.1813 1
Tb3 0.2417 0.0000 0.8201 1
F1 0.0000 0.1789 0.0000 1
F2 0.0062 0.5000 0.2323 1
F3 0.1015 0.2316 0.4155 1
F4 0.1037 0.0000 0.5864 1
F5 0.1061 0.0000 0.2489 1
F6 0.1057 0.5000 0.5767 1
F7 0.1123 0.0000 0.8835 1
F8 0.1177 0.2386 0.7364 1
F9 0.1613 0.3341 0.0013 1
F10 0.1730 0.3281 0.2400 1
```

Largest 10 diffraction maxima, in order of rising 2θ, 2θ = 10–90°:
14.94 deg, intensity 301, (2 0 0)
26.36 deg, intensity 525, (4 0 -3)
26.59 deg, intensity 1000, (2 2 0)
27.03 deg, intensity 444, (0 0 3)
30.13 deg, intensity 255, (4 0 0)
31.22 deg, intensity 432, (2 2 -3)
43.51 deg, intensity 363, (6 2 -3)
44.38 deg, intensity 378, (2 2 3)
44.88 deg, intensity 193, (4 0 -6)
52.55 deg, intensity 323, (4 4 -3)